(1)
Theoretical X-ray powder pattern of TeS7Br2 for Cu Kα (weighted mean of Kα1 and Kα2), from DFT lattice parameters and positions (GGA-PBE).
Neutral-atom scattering factors, no anomalous dispersion.

The 6 most intense peaks (15° ≤ 2θ ≤ 90°), low angle first:
| 2θ (°) | I/Imax |
| --- | --- |
| 18.51 | 41 |
| 21.67 | 100 |
| 23.14 | 38 |
| 26.14 | 28 |
| 27.75 | 67 |
| 35.01 | 38 |

Structural model:
abc: 9.760 12.014 13.712
angles: 90.00 90.00 90.00
Element x y z (fractional)
Te: 0.204 0.250 0.097
Te: 0.296 0.750 0.597
Te: 0.704 0.250 0.403
Te: 0.796 0.750 0.903
S: 0.153 0.611 0.278
S: 0.153 0.889 0.278
S: 0.171 0.588 0.520
S: 0.171 0.912 0.520
S: 0.238 0.042 0.894
S: 0.238 0.458 0.894
S: 0.247 0.250 0.727
S: 0.253 0.750 0.227
S: 0.262 0.542 0.394
S: 0.262 0.958 0.394
S: 0.329 0.088 0.020
S: 0.329 0.412 0.020
S: 0.347 0.111 0.778
S: 0.347 0.389 0.778
S: 0.653 0.611 0.222
S: 0.653 0.889 0.222
S: 0.671 0.588 0.980
S: 0.671 0.912 0.980
S: 0.738 0.042 0.606
S: 0.738 0.458 0.606
S: 0.747 0.250 0.773
S: 0.753 0.750 0.273
S: 0.762 0.542 0.106
S: 0.762 0.958 0.106
S: 0.829 0.088 0.480
S: 0.829 0.412 0.480
S: 0.847 0.111 0.722
S: 0.847 0.389 0.722
Br: 0.004 0.250 0.971
Br: 0.066 0.750 0.707
Br: 0.434 0.250 0.207
Br: 0.496 0.750 0.471
Br: 0.504 0.250 0.529
Br: 0.566 0.750 0.793
Br: 0.934 0.250 0.293
Br: 0.996 0.750 0.029

(2)
Theoretical X-ray powder pattern of Fe5Ge2N6 for Cu Kα (weighted mean of Kα1 and Kα2), from DFT lattice parameters and positions (GGA-PBE).
Neutral-atom scattering factors, no anomalous dispersion.

The 6 most intense peaks (15° ≤ 2θ ≤ 90°), low angle first:
| 2θ (°) | I/Imax |
| --- | --- |
| 22.94 | 33 |
| 29.34 | 100 |
| 33.55 | 53 |
| 34.48 | 44 |
| 36.94 | 36 |
| 40.77 | 53 |

Structural model:
abc: 7.543 7.543 9.924
angles: 95.62 95.62 35.95
Element x y z (fractional)
Fe: 0.040 0.748 0.469
Fe: 0.199 0.801 0.750
Fe: 0.216 0.685 0.139
Fe: 0.252 0.960 0.031
Fe: 0.315 0.784 0.361
Fe: 0.685 0.216 0.639
Fe: 0.748 0.040 0.969
Fe: 0.784 0.315 0.861
Fe: 0.801 0.199 0.250
Fe: 0.960 0.252 0.531
Ge: 0.249 0.317 0.907
Ge: 0.317 0.249 0.407
Ge: 0.683 0.751 0.593
Ge: 0.751 0.683 0.093
N: 0.006 0.670 0.038
N: 0.034 0.821 0.302
N: 0.179 0.966 0.198
N: 0.303 0.569 0.606
N: 0.330 0.994 0.462
N: 0.431 0.697 0.894
N: 0.569 0.303 0.106
N: 0.670 0.006 0.538
N: 0.697 0.431 0.394
N: 0.821 0.034 0.802
N: 0.966 0.179 0.698
N: 0.994 0.330 0.962

(3)
Theoretical X-ray powder pattern of Cs4MgNb2Ag2S8 for Cu Kα (weighted mean of Kα1 and Kα2), from DFT lattice parameters and positions (GGA-PBE).
Neutral-atom scattering factors, no anomalous dispersion.

The 6 most intense peaks (15° ≤ 2θ ≤ 90°), low angle first:
| 2θ (°) | I/Imax |
| --- | --- |
| 19.05 | 27 |
| 24.94 | 100 |
| 26.05 | 55 |
| 29.84 | 33 |
| 31.73 | 46 |
| 36.45 | 47 |

Structural model:
abc: 12.763 12.763 7.761
angles: 95.46 95.46 152.16
Element x y z (fractional)
Cs: 0.000 0.000 0.000
Cs: 0.229 0.771 0.500
Cs: 0.628 0.372 0.000
Cs: 0.873 0.127 0.500
Mg: 0.431 0.569 0.000
Nb: 0.048 0.952 0.500
Nb: 0.809 0.191 0.000
Ag: 0.297 0.703 0.000
Ag: 0.549 0.451 0.500
S: 0.187 0.446 0.160
S: 0.228 0.019 0.316
S: 0.313 0.325 0.713
S: 0.554 0.813 0.840
S: 0.647 0.140 0.197
S: 0.675 0.687 0.287
S: 0.860 0.353 0.803
S: 0.981 0.772 0.684

(4)
Theoretical X-ray powder pattern of Cu3Te2Br2O6 for Cu Kα (weighted mean of Kα1 and Kα2), from DFT lattice parameters and positions (GGA-PBE).
Neutral-atom scattering factors, no anomalous dispersion.

The 6 most intense peaks (15° ≤ 2θ ≤ 90°), low angle first:
| 2θ (°) | I/Imax |
| --- | --- |
| 24.43 | 100 |
| 28.27 | 67 |
| 34.81 | 52 |
| 35.20 | 42 |
| 37.71 | 41 |
| 49.77 | 19 |

Structural model:
abc: 5.734 5.734 8.367
angles: 102.18 102.18 66.80
Element x y z (fractional)
Cu: 0.000 0.000 0.000
Cu: 0.410 0.410 0.133
Cu: 0.590 0.590 0.867
Te: 0.173 0.173 0.744
Te: 0.827 0.827 0.256
Br: 0.295 0.295 0.361
Br: 0.705 0.705 0.639
O: 0.112 0.724 0.130
O: 0.276 0.888 0.870
O: 0.361 0.361 0.877
O: 0.639 0.639 0.123
O: 0.724 0.112 0.130
O: 0.888 0.276 0.870

(5)
Theoretical X-ray powder pattern of K3SbS3 for Cu Kα (weighted mean of Kα1 and Kα2), from DFT lattice parameters and positions (GGA-PBE).
Neutral-atom scattering factors, no anomalous dispersion.

The 6 most intense peaks (15° ≤ 2θ ≤ 90°), low angle first:
| 2θ (°) | I/Imax |
| --- | --- |
| 15.99 | 73 |
| 18.48 | 33 |
| 26.25 | 57 |
| 29.41 | 100 |
| 34.96 | 44 |
| 48.33 | 34 |

Structural model:
abc: 9.602 9.602 9.602
angles: 90.00 90.00 90.00
Element x y z (fractional)
K: 0.060 0.060 0.060
K: 0.064 0.936 0.436
K: 0.177 0.323 0.677
K: 0.323 0.677 0.177
K: 0.436 0.064 0.936
K: 0.440 0.940 0.560
K: 0.560 0.440 0.940
K: 0.564 0.564 0.564
K: 0.677 0.177 0.323
K: 0.823 0.823 0.823
K: 0.936 0.436 0.064
K: 0.940 0.560 0.440
Sb: 0.222 0.722 0.778
Sb: 0.278 0.278 0.278
Sb: 0.722 0.778 0.222
Sb: 0.778 0.222 0.722
S: 0.034 0.254 0.349
S: 0.151 0.966 0.754
S: 0.246 0.651 0.534
S: 0.254 0.349 0.034
S: 0.349 0.034 0.254
S: 0.466 0.746 0.849
S: 0.534 0.246 0.651
S: 0.651 0.534 0.246
S: 0.746 0.849 0.466
S: 0.754 0.151 0.966
S: 0.849 0.466 0.746
S: 0.966 0.754 0.151

(6)
Theoretical X-ray powder pattern of Cs2Pt for Cu Kα (weighted mean of Kα1 and Kα2), from DFT lattice parameters and positions (GGA-PBE).
Neutral-atom scattering factors, no anomalous dispersion.

The 6 most intense peaks (15° ≤ 2θ ≤ 90°), low angle first:
| 2θ (°) | I/Imax |
| --- | --- |
| 27.99 | 100 |
| 30.64 | 95 |
| 37.82 | 20 |
| 41.98 | 33 |
| 52.85 | 34 |
| 54.65 | 37 |

Structural model:
abc: 5.836 5.836 8.215
angles: 90.00 90.00 120.00
Element x y z (fractional)
Cs: 0.000 0.000 0.000
Cs: 0.000 0.000 0.500
Cs: 0.333 0.667 0.250
Cs: 0.667 0.333 0.750
Pt: 0.333 0.667 0.750
Pt: 0.667 0.333 0.250

(7)
Theoretical X-ray powder pattern of H2Os3C8S2O8 for Cu Kα (weighted mean of Kα1 and Kα2), from DFT lattice parameters and positions (GGA-PBE).
Neutral-atom scattering factors, no anomalous dispersion.

The 6 most intense peaks (15° ≤ 2θ ≤ 90°), low angle first:
| 2θ (°) | I/Imax |
| --- | --- |
| 15.44 | 100 |
| 16.75 | 52 |
| 20.15 | 23 |
| 27.36 | 25 |
| 32.05 | 24 |
| 41.17 | 26 |

Structural model:
abc: 8.847 8.847 11.688
angles: 107.13 107.13 92.07
Element x y z (fractional)
H: 0.055 0.705 0.794
H: 0.295 0.945 0.706
H: 0.705 0.055 0.294
H: 0.945 0.295 0.206
Os: 0.167 0.833 0.750
Os: 0.207 0.541 0.801
Os: 0.459 0.793 0.699
Os: 0.541 0.207 0.301
Os: 0.793 0.459 0.199
Os: 0.833 0.167 0.250
C: 0.018 0.146 0.373
C: 0.027 0.376 0.714
C: 0.146 0.018 0.873
C: 0.189 0.552 0.963
C: 0.350 0.388 0.808
C: 0.376 0.027 0.214
C: 0.388 0.350 0.308
C: 0.448 0.811 0.537
C: 0.552 0.189 0.463
C: 0.612 0.650 0.692
C: 0.624 0.973 0.786
C: 0.650 0.612 0.192
C: 0.811 0.448 0.037
C: 0.854 0.982 0.127
C: 0.973 0.624 0.286
C: 0.982 0.854 0.627
S: 0.224 0.590 0.610
S: 0.410 0.776 0.890
S: 0.590 0.224 0.110
S: 0.776 0.410 0.390
O: 0.075 0.729 0.337
O: 0.134 0.135 0.947
O: 0.135 0.134 0.447
O: 0.181 0.556 0.062
O: 0.271 0.925 0.163
O: 0.297 0.440 0.312
O: 0.440 0.297 0.812
O: 0.444 0.819 0.438
O: 0.556 0.181 0.562
O: 0.560 0.703 0.188
O: 0.703 0.560 0.688
O: 0.729 0.075 0.837
O: 0.819 0.444 0.938
O: 0.865 0.866 0.553
O: 0.866 0.865 0.053
O: 0.925 0.271 0.663

(8)
Theoretical X-ray powder pattern of BaSrMgSi2O7 for Cu Kα (weighted mean of Kα1 and Kα2), from DFT lattice parameters and positions (GGA-PBE).
Neutral-atom scattering factors, no anomalous dispersion.

The 6 most intense peaks (15° ≤ 2θ ≤ 90°), low angle first:
| 2θ (°) | I/Imax |
| --- | --- |
| 15.26 | 24 |
| 27.38 | 26 |
| 29.35 | 100 |
| 29.62 | 47 |
| 29.75 | 50 |
| 34.54 | 32 |

Structural model:
abc: 5.345 8.217 8.207
angles: 90.00 91.02 90.00
Element x y z (fractional)
Ba: 0.012 0.000 0.087
Ba: 0.988 0.500 0.913
Sr: 0.006 0.666 0.418
Sr: 0.994 0.166 0.582
Mg: 0.499 0.837 0.747
Mg: 0.501 0.337 0.253
Si: 0.446 0.473 0.602
Si: 0.455 0.197 0.877
Si: 0.545 0.697 0.123
Si: 0.554 0.973 0.398
O: 0.243 0.694 0.125
O: 0.252 0.975 0.404
O: 0.295 0.415 0.435
O: 0.310 0.030 0.819
O: 0.315 0.644 0.662
O: 0.332 0.258 0.050
O: 0.348 0.334 0.739
O: 0.652 0.834 0.261
O: 0.668 0.758 0.950
O: 0.685 0.144 0.338
O: 0.690 0.530 0.181
O: 0.705 0.915 0.565
O: 0.748 0.475 0.596
O: 0.757 0.194 0.875